Starting from a structure optimized by DFT (GGA-PBE), the powder X-ray diffraction pattern of La7Tb16Dy6 was calculated for copper Kα.
Lines closer than 0.1° are merged.

Cell and atoms:
```
La7Tb16Dy6
1.0
0.000 8.010 8.010
8.010 0.000 8.010
8.010 8.010 0.000
La Tb Dy
7 16 6
Cartesian
0.000 0.000 0.000 La
4.005 4.005 0.000 La
4.005 0.000 4.005 La
8.010 4.005 4.005 La
0.000 4.005 4.005 La
4.005 8.010 4.005 La
4.005 4.005 8.010 La
10.426 5.595 5.595 Tb
2.084 2.084 2.084 Tb
5.927 5.927 2.084 Tb
5.927 2.084 5.927 Tb
5.595 5.595 5.595 Tb
10.426 10.426 5.595 Tb
10.426 5.595 10.426 Tb
13.937 10.094 10.094 Tb
2.084 5.927 5.927 Tb
5.595 10.426 5.595 Tb
5.595 5.595 10.426 Tb
10.426 10.426 10.426 Tb
10.094 13.937 10.094 Tb
10.094 10.094 13.937 Tb
13.937 13.937 13.937 Tb
5.595 10.426 10.426 Tb
8.010 8.010 4.049 Dy
8.010 4.049 8.010 Dy
11.972 8.010 8.010 Dy
4.049 8.010 8.010 Dy
8.010 11.972 8.010 Dy
8.010 8.010 11.972 Dy
```

Principal peaks in the range 10° ≤ 2θ ≤ 90°, by angle:
2θ (°), d (Å), Rel. int.
24.85, 3.582, 7.9
27.27, 3.270, 5.9
31.59, 2.832, 100.0
33.08, 2.708, 6.3
33.56, 2.670, 6.1
35.44, 2.533, 6.0
45.28, 2.003, 14.3
56.26, 1.635, 27.7
65.97, 1.416, 7.8
74.99, 1.267, 7.8

=====

Starting from a structure optimized by DFT (GGA-PBE), the powder X-ray diffraction pattern of La5InPb2 was calculated for copper Kα.
Lines closer than 0.1° are merged.

Cell and atoms:
```
La5InPb2
1.0
-4.366 4.366 7.083
4.366 -4.366 7.083
4.366 4.366 -7.083
La In Pb
10 2 4
Cartesian
0.000 0.000 0.000 La
5.828 1.462 -2.184 La
1.462 2.904 -2.184 La
5.828 1.462 2.184 La
1.462 2.904 2.184 La
0.000 0.000 7.083 La
2.904 1.462 4.899 La
-1.462 2.904 4.899 La
2.904 1.462 9.267 La
-1.462 2.904 9.267 La
0.000 0.000 3.542 In
0.000 0.000 10.625 In
3.199 1.167 0.000 Pb
3.199 -1.167 7.083 Pb
1.167 5.532 0.000 Pb
1.167 3.199 7.083 Pb
```

Principal peaks in the range 10° ≤ 2θ ≤ 90°, by angle:
2θ (°), d (Å), Rel. int.
12.50, 7.083, 9.5
29.69, 3.009, 100.0
32.43, 2.761, 45.2
32.56, 2.750, 13.9
38.12, 2.361, 11.0
47.03, 1.932, 12.7
50.89, 1.794, 11.0
59.58, 1.552, 9.5
59.98, 1.542, 10.9
60.36, 1.533, 15.4

=====

What did the first record say?
Starting from a structure optimized by DFT (GGA-PBE), the powder X-ray diffraction pattern of La7Tb16Dy6 was calculated for copper Kα.
Lines closer than 0.1° are merged.

Cell and atoms:
```
La7Tb16Dy6
1.0
0.000 8.010 8.010
8.010 0.000 8.010
8.010 8.010 0.000
La Tb Dy
7 16 6
Cartesian
0.000 0.000 0.000 La
4.005 4.005 0.000 La
4.005 0.000 4.005 La
8.010 4.005 4.005 La
0.000 4.005 4.005 La
4.005 8.010 4.005 La
4.005 4.005 8.010 La
10.426 5.595 5.595 Tb
2.084 2.084 2.084 Tb
5.927 5.927 2.084 Tb
5.927 2.084 5.927 Tb
5.595 5.595 5.595 Tb
10.426 10.426 5.595 Tb
10.426 5.595 10.426 Tb
13.937 10.094 10.094 Tb
2.084 5.927 5.927 Tb
5.595 10.426 5.595 Tb
5.595 5.595 10.426 Tb
10.426 10.426 10.426 Tb
10.094 13.937 10.094 Tb
10.094 10.094 13.937 Tb
13.937 13.937 13.937 Tb
5.595 10.426 10.426 Tb
8.010 8.010 4.049 Dy
8.010 4.049 8.010 Dy
11.972 8.010 8.010 Dy
4.049 8.010 8.010 Dy
8.010 11.972 8.010 Dy
8.010 8.010 11.972 Dy
```

Principal peaks in the range 10° ≤ 2θ ≤ 90°, by angle:
2θ (°), d (Å), Rel. int.
24.85, 3.582, 7.9
27.27, 3.270, 5.9
31.59, 2.832, 100.0
33.08, 2.708, 6.3
33.56, 2.670, 6.1
35.44, 2.533, 6.0
45.28, 2.003, 14.3
56.26, 1.635, 27.7
65.97, 1.416, 7.8
74.99, 1.267, 7.8